Calculated powder XRD pattern of Ac3Pm3Er for Cu Kα, from a cell relaxed with GGA-PBE.

Peak list (12 most intense, 2θ from 5° to 70°, low angle first)
25.5 deg, rel. 35; 28.0 deg, rel. 47; 28.7 deg, rel. 20; 30.2 deg, rel. 100; 30.6 deg, rel. 98; 31.8 deg, rel. 63; 31.9 deg, rel. 39; 45.7 deg, rel. 30; 53.6 deg, rel. 19; 55.6 deg, rel. 22; 55.9 deg, rel. 19; 58.4 deg, rel. 15

Crystal structure
Lattice parameters (Å, degrees): 13.895 5.635 14.083 90.00 90.00 90.00
Space group Pnma (No. 62)
Asymmetric unit:
Ac (0.091, 0.250, 0.061) (multiplicity 4)
Ac (0.095, 0.250, 0.558) (multiplicity 4)
Ac (0.187, 0.750, 0.361) (multiplicity 4)
Pm (0.035, 0.250, 0.312) (multiplicity 4)
Pm (0.163, 0.750, 0.934) (multiplicity 4)
Pm (0.207, 0.750, 0.700) (multiplicity 4)
Er (0.047, 0.250, 0.812) (multiplicity 4)

***

Calculated powder XRD pattern of Ac2Pm12Er5 for Cu Kα, from a cell relaxed with GGA-PBE.

Peak list (12 most intense, 2θ from 5° to 70°, low angle first)
27.6 deg, rel. 35; 28.6 deg, rel. 12; 29.3 deg, rel. 16; 30.5 deg, rel. 49; 30.9 deg, rel. 100; 32.5 deg, rel. 39; 34.6 deg, rel. 22; 35.2 deg, rel. 14; 36.6 deg, rel. 13; 47.2 deg, rel. 12; 51.5 deg, rel. 10; 54.4 deg, rel. 11

Crystal structure
Lattice parameters (Å, degrees): 18.059 11.728 6.319 90.00 100.80 90.00
Space group C2/m (No. 12)
Asymmetric unit:
Ac (0.000, 0.209, 0.000) (multiplicity 4)
Pm (0.083, 0.000, 0.373) (multiplicity 4)
Pm (0.103, 0.266, 0.612) (multiplicity 8)
Pm (0.105, 0.500, 0.023) (multiplicity 4)
Pm (0.207, 0.259, 0.218) (multiplicity 8)
Er (0.000, 0.500, 0.500) (multiplicity 2)
Er (0.176, 0.000, 0.895) (multiplicity 4)
Er (0.218, 0.500, 0.562) (multiplicity 4)

***

Calculated powder XRD pattern of AcPm4Er15 for Cu Kα, from a cell relaxed with GGA-PBE.

Peak list (8 most intense, 2θ from 5° to 70°, low angle first)
30.8 deg, rel. 100; 35.6 deg, rel. 34; 35.8 deg, rel. 17; 51.3 deg, rel. 12; 51.4 deg, rel. 24; 61.0 deg, rel. 29; 61.2 deg, rel. 14; 64.1 deg, rel. 12

Crystal structure
Lattice parameters (Å, degrees): 5.040 5.040 25.091 90.00 90.00 90.00
Space group P4/mmm (No. 123)
Asymmetric unit:
Ac (0.000, 0.000, 0.000) (multiplicity 1)
Pm (0.000, 0.000, 0.202) (multiplicity 2)
Pm (0.000, 0.000, 0.401) (multiplicity 2)
Er (0.000, 0.500, 0.104) (multiplicity 4)
Er (0.000, 0.500, 0.302) (multiplicity 4)
Er (0.000, 0.500, 0.500) (multiplicity 2)
Er (0.500, 0.500, 0.000) (multiplicity 1)
Er (0.500, 0.500, 0.203) (multiplicity 2)
Er (0.500, 0.500, 0.401) (multiplicity 2)

***

Calculated powder XRD pattern of AcPm6Pr2Er for Cu Kα, from a cell relaxed with GGA-PBE.

Peak list (12 most intense, 2θ from 5° to 70°, low angle first)
27.4 deg, rel. 32; 27.6 deg, rel. 19; 29.7 deg, rel. 39; 29.8 deg, rel. 43; 30.1 deg, rel. 100; 30.6 deg, rel. 31; 31.2 deg, rel. 14; 33.0 deg, rel. 42; 34.0 deg, rel. 15; 52.8 deg, rel. 11; 57.4 deg, rel. 12; 58.1 deg, rel. 14

Crystal structure
Lattice parameters (Å, degrees): 9.363 15.672 9.807 90.00 95.85 90.00
Space group C2/c (No. 15)
Asymmetric unit:
Ac (0.000, 0.023, 0.250) (multiplicity 4)
Pm (0.059, 0.192, 0.944) (multiplicity 8)
Pm (0.105, 0.394, 0.116) (multiplicity 8)
Pm (0.210, 0.225, 0.310) (multiplicity 8)
Pr (0.242, 0.442, 0.455) (multiplicity 8)
Er (0.000, 0.411, 0.750) (multiplicity 4)